[1]
The following is a theoretical PXRD pattern of Nd2Fe4Co13. It was derived from a GGA-PBE-relaxed structure, using copper Kα.
No peak broadening, texture or thermal motion is included.

Crystal structure
Cell lengths 6.357, 6.357, 6.357 Å; angles 82.78, 82.78, 82.78 degrees
Sites, in units of the cell vectors:
Nd 0.000 0.000 0.000
Nd 0.314 0.314 0.314
Fe 0.153 0.659 0.659
Fe 0.563 0.563 0.563
Fe 0.659 0.153 0.659
Fe 0.659 0.659 0.153
Co 0.001 0.001 0.501
Co 0.001 0.501 0.001
Co 0.314 0.314 0.809
Co 0.314 0.809 0.314
Co 0.372 0.657 0.942
Co 0.372 0.942 0.657
Co 0.501 0.001 0.001
Co 0.657 0.372 0.942
Co 0.657 0.942 0.372
Co 0.754 0.754 0.754
Co 0.809 0.314 0.314
Co 0.942 0.372 0.657
Co 0.942 0.657 0.372

Most intense lines, 10 to 90 degrees two-theta, by angle:
2theta  d [Å]  intensity
30.44  2.937  37.8
37.05  2.427  39.2
38.29  2.351  32.4
43.04  2.102  65.7
43.31  2.089  100.0
44.13  2.052  53.0

***

[2]
The following is a theoretical PXRD pattern of NdFeCoSi2. It was derived from a GGA-PBE-relaxed structure, using copper Kα.
No peak broadening, texture or thermal motion is included.

Crystal structure
Cell lengths 3.985, 3.985, 9.810 Å; angles 90.00, 90.00, 90.00 degrees
Sites, in units of the cell vectors:
Nd 0.000 0.000 0.000
Nd 0.500 0.500 0.500
Fe 0.000 0.500 0.250
Fe 0.500 0.000 0.750
Co 0.000 0.500 0.750
Co 0.500 0.000 0.250
Si 0.000 0.000 0.364
Si 0.000 0.000 0.636
Si 0.500 0.500 0.136
Si 0.500 0.500 0.864

Most intense lines, 10 to 90 degrees two-theta, by angle:
2theta  d [Å]  intensity
24.10  3.692  49.9
35.51  2.528  61.5
36.78  2.444  100.0
45.52  1.993  42.1
59.02  1.565  27.8
78.31  1.221  27.1

***

[3]
The following is a theoretical PXRD pattern of Nd2Fe3CoSi4. It was derived from a GGA-PBE-relaxed structure, using copper Kα.
No peak broadening, texture or thermal motion is included.

Crystal structure
Cell lengths 3.995, 3.995, 9.770 Å; angles 90.00, 90.00, 90.00 degrees
Sites, in units of the cell vectors:
Nd 0.000 0.500 0.249
Nd 0.500 0.000 0.751
Fe 0.000 0.000 0.000
Fe 0.500 0.500 0.000
Fe 0.500 0.500 0.500
Co 0.000 0.000 0.500
Si 0.000 0.500 0.613
Si 0.000 0.500 0.888
Si 0.500 0.000 0.112
Si 0.500 0.000 0.387

Most intense lines, 10 to 90 degrees two-theta, by angle:
2theta  d [Å]  intensity
24.06  3.698  43.8
35.56  2.524  53.6
36.75  2.445  100.0
45.40  1.998  36.5
52.07  1.756  24.7
66.21  1.412  29.8

***

[4]
The following is a theoretical PXRD pattern of NdSmFe4Co13. It was derived from a GGA-PBE-relaxed structure, using copper Kα.
No peak broadening, texture or thermal motion is included.

Crystal structure
Cell lengths 6.354, 6.354, 6.354 Å; angles 82.88, 82.88, 82.88 degrees
Sites, in units of the cell vectors:
Nd 0.000 0.000 0.000
Sm 0.313 0.313 0.313
Fe 0.152 0.658 0.658
Fe 0.564 0.564 0.564
Fe 0.658 0.152 0.658
Fe 0.658 0.658 0.152
Co 0.000 0.000 0.499
Co 0.000 0.499 0.000
Co 0.313 0.313 0.809
Co 0.313 0.809 0.313
Co 0.371 0.656 0.943
Co 0.371 0.943 0.656
Co 0.499 0.000 0.000
Co 0.656 0.371 0.943
Co 0.656 0.943 0.371
Co 0.752 0.752 0.752
Co 0.809 0.313 0.313
Co 0.943 0.371 0.656
Co 0.943 0.656 0.371

Most intense lines, 10 to 90 degrees two-theta, by angle:
2theta  d [Å]  intensity
30.46  2.935  38.9
37.03  2.428  39.3
38.32  2.349  31.4
43.02  2.103  64.8
43.32  2.089  100.0
44.19  2.050  51.9

***

[5]
The following is a theoretical PXRD pattern of FeCo16NiS16. It was derived from a GGA-PBE-relaxed structure, using copper Kα.
No peak broadening, texture or thermal motion is included.

Crystal structure
Cell lengths 6.964, 6.964, 9.844 Å; angles 90.00, 90.00, 90.00 degrees
Sites, in units of the cell vectors:
Fe 0.000 0.000 0.000
Co 0.000 0.253 0.373
Co 0.000 0.253 0.627
Co 0.000 0.747 0.373
Co 0.000 0.747 0.627
Co 0.248 0.500 0.125
Co 0.248 0.500 0.875
Co 0.253 0.000 0.373
Co 0.253 0.000 0.627
Co 0.500 0.248 0.125
Co 0.500 0.248 0.875
Co 0.500 0.752 0.125
Co 0.500 0.752 0.875
Co 0.747 0.000 0.373
Co 0.747 0.000 0.627
Co 0.752 0.500 0.125
Co 0.752 0.500 0.875
Ni 0.500 0.500 0.500
S 0.000 0.000 0.236
S 0.000 0.000 0.764
S 0.000 0.500 0.248
S 0.000 0.500 0.752
S 0.237 0.237 0.000
S 0.237 0.763 0.000
S 0.257 0.257 0.500
S 0.257 0.743 0.500
S 0.500 0.000 0.248
S 0.500 0.000 0.752
S 0.500 0.500 0.257
S 0.500 0.500 0.743
S 0.743 0.257 0.500
S 0.743 0.743 0.500
S 0.763 0.237 0.000
S 0.763 0.763 0.000

Most intense lines, 10 to 90 degrees two-theta, by angle:
2theta  d [Å]  intensity
15.59  5.685  24.5
30.10  2.969  88.2
31.47  2.843  19.4
48.01  1.895  33.3
52.58  1.741  100.0
73.94  1.282  15.8

***

[6]
The following is a theoretical PXRD pattern of FeCoP. It was derived from a GGA-PBE-relaxed structure, using copper Kα.
No peak broadening, texture or thermal motion is included.

Crystal structure
Cell lengths 5.712, 3.527, 6.525 Å; angles 90.00, 90.00, 90.00 degrees
Sites, in units of the cell vectors:
Fe 0.030 0.250 0.162
Fe 0.470 0.750 0.662
Fe 0.530 0.250 0.338
Fe 0.970 0.750 0.838
Co 0.139 0.250 0.568
Co 0.361 0.750 0.068
Co 0.639 0.250 0.932
Co 0.861 0.750 0.432
P 0.243 0.750 0.381
P 0.257 0.250 0.881
P 0.743 0.750 0.119
P 0.757 0.250 0.619

Most intense lines, 10 to 90 degrees two-theta, by angle:
2theta  d [Å]  intensity
40.65  2.219  47.4
40.86  2.209  100.0
43.05  2.101  62.9
44.58  2.033  25.8
49.22  1.851  24.6
51.86  1.763  52.0

***

[7]
The following is a theoretical PXRD pattern of PrFeCo4. It was derived from a GGA-PBE-relaxed structure, using copper Kα.
No peak broadening, texture or thermal motion is included.

Crystal structure
Cell lengths 5.070, 5.070, 3.941 Å; angles 90.00, 90.00, 120.00 degrees
Sites, in units of the cell vectors:
Pr 0.000 0.000 0.000
Fe 0.333 0.667 0.000
Co 0.501 0.003 0.500
Co 0.501 0.499 0.500
Co 0.667 0.333 0.000
Co 0.997 0.499 0.500

Most intense lines, 10 to 90 degrees two-theta, by angle:
2theta  d [Å]  intensity
30.48  2.933  48.4
35.41  2.535  31.9
41.12  2.195  37.2
42.39  2.132  100.0
46.06  1.971  24.8
68.37  1.372  22.5

***

[8]
The following is a theoretical PXRD pattern of PrFeCo. It was derived from a GGA-PBE-relaxed structure, using copper Kα.
No peak broadening, texture or thermal motion is included.

Crystal structure
Cell lengths 5.077, 5.484, 7.320 Å; angles 90.00, 90.00, 90.00 degrees
Sites, in units of the cell vectors:
Pr 0.000 0.250 0.124
Pr 0.000 0.750 0.876
Pr 0.500 0.250 0.376
Pr 0.500 0.750 0.624
Fe 0.250 0.250 0.750
Fe 0.250 0.750 0.250
Fe 0.750 0.250 0.750
Fe 0.750 0.750 0.250
Co 0.000 0.000 0.500
Co 0.000 0.500 0.500
Co 0.500 0.000 0.000
Co 0.500 0.500 0.000

Most intense lines, 10 to 90 degrees two-theta, by angle:
2theta  d [Å]  intensity
32.66  2.742  20.2
34.35  2.611  73.8
39.32  2.291  67.3
40.46  2.229  30.4
41.08  2.197  100.0
72.39  1.305  26.9

***

[9]
The following is a theoretical PXRD pattern of FeCoPt2. It was derived from a GGA-PBE-relaxed structure, using copper Kα.
No peak broadening, texture or thermal motion is included.

Crystal structure
Cell lengths 2.679, 2.679, 25.828 Å; angles 90.00, 90.00, 120.00 degrees
Sites, in units of the cell vectors:
Fe 0.000 0.000 0.000
Fe 0.333 0.667 0.667
Fe 0.667 0.333 0.333
Co 0.000 0.000 0.264
Co 0.333 0.667 0.930
Co 0.667 0.333 0.597
Pt 0.000 0.000 0.513
Pt 0.000 0.000 0.749
Pt 0.333 0.667 0.180
Pt 0.333 0.667 0.416
Pt 0.667 0.333 0.083
Pt 0.667 0.333 0.846

Most intense lines, 10 to 90 degrees two-theta, by angle:
2theta  d [Å]  intensity
10.27  8.609  65.1
31.17  2.870  26.9
41.36  2.183  100.0
41.98  2.152  25.0
42.73  2.116  24.6
48.31  1.884  58.3

***

[10]
The following is a theoretical PXRD pattern of FeCoPt2. It was derived from a GGA-PBE-relaxed structure, using copper Kα.
No peak broadening, texture or thermal motion is included.

Crystal structure
Cell lengths 2.671, 2.671, 7.320 Å; angles 90.00, 90.00, 90.00 degrees
Sites, in units of the cell vectors:
Fe 0.000 0.000 0.000
Co 0.000 0.000 0.500
Pt 0.500 0.500 0.249
Pt 0.500 0.500 0.751

Most intense lines, 10 to 90 degrees two-theta, by angle:
2theta  d [Å]  intensity
24.32  3.660  27.2
33.56  2.671  24.5
41.87  2.157  100.0
48.19  1.888  33.3
71.83  1.314  20.0
85.53  1.135  25.5

***

[11]
The following is a theoretical PXRD pattern of FeCoS2. It was derived from a GGA-PBE-relaxed structure, using copper Kα.
No peak broadening, texture or thermal motion is included.

Crystal structure
Cell lengths 3.344, 3.344, 5.103 Å; angles 90.00, 90.00, 120.00 degrees
Sites, in units of the cell vectors:
Fe 0.000 0.000 0.000
Co 0.000 0.000 0.500
S 0.333 0.667 0.754
S 0.667 0.333 0.246

Most intense lines, 10 to 90 degrees two-theta, by angle:
2theta  d [Å]  intensity
30.88  2.896  58.1
35.65  2.519  32.7
47.49  1.914  100.0
54.91  1.672  45.6
64.34  1.448  6.3
75.49  1.259  22.6

***

[12]
The following is a theoretical PXRD pattern of FeCo3S8. It was derived from a GGA-PBE-relaxed structure, using copper Kα.
No peak broadening, texture or thermal motion is included.

Crystal structure
Cell lengths 5.487, 5.487, 5.487 Å; angles 90.00, 90.00, 90.00 degrees
Sites, in units of the cell vectors:
Fe 0.000 0.000 0.000
Co 0.000 0.500 0.500
Co 0.500 0.000 0.500
Co 0.500 0.500 0.000
S 0.112 0.382 0.888
S 0.112 0.888 0.618
S 0.382 0.888 0.112
S 0.389 0.389 0.389
S 0.611 0.611 0.611
S 0.618 0.112 0.888
S 0.888 0.112 0.382
S 0.888 0.618 0.112

Most intense lines, 10 to 90 degrees two-theta, by angle:
2theta  d [Å]  intensity
28.17  3.168  39.0
32.64  2.744  97.2
36.62  2.454  49.6
40.26  2.240  42.1
46.83  1.940  52.2
55.54  1.655  100.0

***

[13]
The following is a theoretical PXRD pattern of FeCoS4. It was derived from a GGA-PBE-relaxed structure, using copper Kα.
No peak broadening, texture or thermal motion is included.

Crystal structure
Cell lengths 5.442, 5.463, 5.462 Å; angles 90.00, 90.20, 90.00 degrees
Sites, in units of the cell vectors:
Fe 0.000 0.000 0.000
Fe 0.000 0.500 0.500
Co 0.500 0.000 0.500
Co 0.500 0.500 0.000
S 0.113 0.118 0.381
S 0.113 0.382 0.881
S 0.381 0.613 0.388
S 0.381 0.887 0.888
S 0.619 0.113 0.112
S 0.619 0.387 0.612
S 0.887 0.618 0.119
S 0.887 0.882 0.619

Most intense lines, 10 to 90 degrees two-theta, by angle:
2theta  d [Å]  intensity
28.33  3.150  65.8
32.79  2.731  100.0
40.48  2.228  56.8
47.09  1.930  68.9
55.82  1.647  81.0
55.92  1.644  56.9